No. 1
Diffraction record for Sm8Er3Th2. The PXRD pattern is simulated, not measured: it uses a DFT-relaxed cell (PBE, Alexandria) and Cu Kα (λ = 1.5418 Å).
No peak broadening, texture or thermal motion is included.

Atomic structure:
```
data_Sm8Er3Th2
_chemical_formula_sum 'Sm16 Er6 Th4'
_cell_length_a 7.0463
_cell_length_b 8.3229
_cell_length_c 15.6869
_cell_angle_alpha 88.41
_cell_angle_beta 82.45
_cell_angle_gamma 76.39
_space_group_name_H-M_alt 'P 1'
_space_group_IT_number 1
_space_group_name_Hall 'P 1'
loop_
_atom_site_label
_atom_site_type_symbol
_atom_site_fract_x
_atom_site_fract_y
_atom_site_fract_z
_atom_site_occupancy
Sm1 Sm 0.0391 0.3150 0.0631 1
Sm2 Sm 0.0967 0.7907 0.3608 1
Sm3 Sm 0.1728 0.7139 0.1302 1
Sm4 Sm 0.2010 0.2310 0.4469 1
Sm5 Sm 0.2682 0.8660 0.5719 1
Sm6 Sm 0.2954 0.0819 0.2264 1
Sm7 Sm 0.3474 0.2999 0.8553 1
Sm8 Sm 0.4464 0.4317 0.2828 1
Sm9 Sm 0.5536 0.5683 0.7172 1
Sm10 Sm 0.6526 0.7001 0.1447 1
Sm11 Sm 0.7046 0.9181 0.7736 1
Sm12 Sm 0.7318 0.1340 0.4281 1
Sm13 Sm 0.7990 0.7690 0.5531 1
Sm14 Sm 0.8272 0.2861 0.8698 1
Sm15 Sm 0.9033 0.2093 0.6392 1
Sm16 Sm 0.9609 0.6850 0.9369 1
Er1 Er 0.0756 0.5568 0.7118 1
Er2 Er 0.2075 0.9377 0.7955 1
Er3 Er 0.5000 0.0000 0.0000 1
Er4 Er 0.5000 0.5000 0.5000 1
Er5 Er 0.7925 0.0623 0.2045 1
Er6 Er 0.9244 0.4432 0.2882 1
Th1 Th 0.4202 0.1869 0.6392 1
Th2 Th 0.4890 0.6447 0.9278 1
Th3 Th 0.5110 0.3553 0.0722 1
Th4 Th 0.5798 0.8131 0.3608 1
```

Largest 10 diffraction maxima, by angle, 5° ≤ 2θ ≤ 70°:
d 2.973, intensity 33
d 2.906, intensity 100
d 2.898, intensity 30
d 2.855, intensity 58
d 2.820, intensity 49
d 2.798, intensity 72
d 2.754, intensity 47
d 2.687, intensity 43
d 2.658, intensity 65
d 1.690, intensity 21

---

No. 2
Diffraction record for Nd15TlIn4. The PXRD pattern is simulated, not measured: it uses a DFT-relaxed cell (PBE, Alexandria) and Cu Kα (λ = 1.5418 Å).
No peak broadening, texture or thermal motion is included.

Atomic structure:
```
data_Nd15TlIn4
_chemical_formula_sum 'Nd15 Tl1 In4'
_cell_length_a 4.9811
_cell_length_b 4.9811
_cell_length_c 25.0629
_cell_angle_alpha 90.00
_cell_angle_beta 90.00
_cell_angle_gamma 90.00
_space_group_name_H-M_alt 'P 1'
_space_group_IT_number 1
_space_group_name_Hall 'P 1'
loop_
_atom_site_label
_atom_site_type_symbol
_atom_site_fract_x
_atom_site_fract_y
_atom_site_fract_z
_atom_site_occupancy
Nd1 Nd 0.0000 0.0000 0.0000 1
Nd2 Nd 0.0000 0.0000 0.2001 1
Nd3 Nd 0.0000 0.0000 0.4000 1
Nd4 Nd 0.0000 0.0000 0.6000 1
Nd5 Nd 0.0000 0.0000 0.7999 1
Nd6 Nd 0.0000 0.5000 0.1005 1
Nd7 Nd 0.0000 0.5000 0.3000 1
Nd8 Nd 0.0000 0.5000 0.5000 1
Nd9 Nd 0.0000 0.5000 0.7000 1
Nd10 Nd 0.0000 0.5000 0.8995 1
Nd11 Nd 0.5000 0.0000 0.1005 1
Nd12 Nd 0.5000 0.0000 0.3000 1
Nd13 Nd 0.5000 0.0000 0.5000 1
Nd14 Nd 0.5000 0.0000 0.7000 1
Nd15 Nd 0.5000 0.0000 0.8995 1
Tl1 Tl 0.5000 0.5000 0.0000 1
In1 In 0.5000 0.5000 0.1999 1
In2 In 0.5000 0.5000 0.4000 1
In3 In 0.5000 0.5000 0.6000 1
In4 In 0.5000 0.5000 0.8001 1
```

Largest 8 diffraction maxima, by angle, 5° ≤ 2θ ≤ 70°:
d 2.882, intensity 100
d 2.506, intensity 17
d 2.491, intensity 33
d 1.767, intensity 24
d 1.761, intensity 12
d 1.510, intensity 14
d 1.503, intensity 28
d 1.441, intensity 12

---

No. 3
Diffraction record for Tm10Ge3Sb3. The PXRD pattern is simulated, not measured: it uses a DFT-relaxed cell (PBE, Alexandria) and Cu Kα (λ = 1.5418 Å).
No peak broadening, texture or thermal motion is included.

Atomic structure:
```
data_Tm10Ge3Sb3
_chemical_formula_sum 'Tm10 Ge3 Sb3'
_cell_length_a 8.6157
_cell_length_b 8.6157
_cell_length_c 6.2674
_cell_angle_alpha 90.00
_cell_angle_beta 90.00
_cell_angle_gamma 120.00
_space_group_name_H-M_alt 'P 1'
_space_group_IT_number 1
_space_group_name_Hall 'P 1'
loop_
_atom_site_label
_atom_site_type_symbol
_atom_site_fract_x
_atom_site_fract_y
_atom_site_fract_z
_atom_site_occupancy
Tm1 Tm 0.0000 0.2426 0.0000 1
Tm2 Tm 0.0000 0.7595 0.5000 1
Tm3 Tm 0.2405 0.2405 0.5000 1
Tm4 Tm 0.2426 0.0000 0.0000 1
Tm5 Tm 0.3333 0.6667 0.2425 1
Tm6 Tm 0.3333 0.6667 0.7575 1
Tm7 Tm 0.6667 0.3333 0.2425 1
Tm8 Tm 0.6667 0.3333 0.7575 1
Tm9 Tm 0.7574 0.7574 0.0000 1
Tm10 Tm 0.7595 0.0000 0.5000 1
Ge1 Ge 0.0000 0.6099 0.0000 1
Ge2 Ge 0.3901 0.3901 0.0000 1
Ge3 Ge 0.6099 0.0000 0.0000 1
Sb1 Sb 0.0000 0.3957 0.5000 1
Sb2 Sb 0.3957 0.0000 0.5000 1
Sb3 Sb 0.6043 0.6043 0.5000 1
```

Largest 10 diffraction maxima, by angle, 5° ≤ 2θ ≤ 70°:
d 3.134, intensity 14
d 2.889, intensity 27
d 2.820, intensity 38
d 2.572, intensity 100
d 2.534, intensity 81
d 2.487, intensity 40
d 1.775, intensity 22
d 1.679, intensity 28
d 1.603, intensity 18
d 1.347, intensity 15

---

No. 4
Diffraction record for Zr2VMo3. The PXRD pattern is simulated, not measured: it uses a DFT-relaxed cell (PBE, Alexandria) and Cu Kα (λ = 1.5418 Å).
No peak broadening, texture or thermal motion is included.

Atomic structure:
```
data_Zr2VMo3
_chemical_formula_sum 'Zr2 V1 Mo3'
_cell_length_a 5.3436
_cell_length_b 5.3436
_cell_length_c 5.3436
_cell_angle_alpha 59.99
_cell_angle_beta 59.99
_cell_angle_gamma 59.99
_space_group_name_H-M_alt 'P 1'
_space_group_IT_number 1
_space_group_name_Hall 'P 1'
loop_
_atom_site_label
_atom_site_type_symbol
_atom_site_fract_x
_atom_site_fract_y
_atom_site_fract_z
_atom_site_occupancy
Zr1 Zr 0.1251 0.1251 0.1251 1
Zr2 Zr 0.8749 0.8749 0.8749 1
V1 V 0.5000 0.5000 0.5000 1
Mo1 Mo 0.0000 0.5000 0.5000 1
Mo2 Mo 0.5000 0.0000 0.5000 1
Mo3 Mo 0.5000 0.5000 0.0000 1
```

Largest 10 diffraction maxima, by angle, 5° ≤ 2θ ≤ 70°:
d 4.363, intensity 7
d 3.778, intensity 2
d 2.672, intensity 31
d 2.278, intensity 100
d 2.181, intensity 37
d 1.889, intensity 4
d 1.734, intensity 1
d 1.690, intensity 1
d 1.542, intensity 11
d 1.454, intensity 31

---

No. 5
Diffraction record for BH2I. The PXRD pattern is simulated, not measured: it uses a DFT-relaxed cell (PBE, Alexandria) and Cu Kα (λ = 1.5418 Å).
No peak broadening, texture or thermal motion is included.

Atomic structure:
```
data_BH2I
_chemical_formula_sum 'B4 H8 I4'
_cell_length_a 6.6497
_cell_length_b 4.9435
_cell_length_c 10.4135
_cell_angle_alpha 90.00
_cell_angle_beta 90.00
_cell_angle_gamma 90.00
_space_group_name_H-M_alt 'P 1'
_space_group_IT_number 1
_space_group_name_Hall 'P 1'
loop_
_atom_site_label
_atom_site_type_symbol
_atom_site_fract_x
_atom_site_fract_y
_atom_site_fract_z
_atom_site_occupancy
B1 B 0.2500 0.0000 0.1255 1
B2 B 0.2500 0.5000 0.3745 1
B3 B 0.7500 0.0000 0.8745 1
B4 B 0.7500 0.5000 0.6255 1
H1 H 0.1422 0.1533 0.0689 1
H2 H 0.1422 0.3467 0.4311 1
H3 H 0.3578 0.6533 0.4311 1
H4 H 0.3578 0.8467 0.0689 1
H5 H 0.6422 0.1533 0.9311 1
H6 H 0.6422 0.3467 0.5689 1
H7 H 0.8578 0.6533 0.5689 1
H8 H 0.8578 0.8467 0.9311 1
I1 I 0.0376 0.7500 0.2500 1
I2 I 0.4624 0.2500 0.2500 1
I3 I 0.5376 0.7500 0.7500 1
I4 I 0.9624 0.2500 0.7500 1
```

Largest 10 diffraction maxima, by angle, 5° ≤ 2θ ≤ 70°:
d 5.605, intensity 13
d 5.207, intensity 58
d 3.707, intensity 100
d 3.325, intensity 13
d 2.802, intensity 20
d 2.612, intensity 41
d 2.233, intensity 13
d 1.985, intensity 20
d 1.854, intensity 12
d 1.844, intensity 14

---

No. 6
Diffraction record for Pm3SiTc. The PXRD pattern is simulated, not measured: it uses a DFT-relaxed cell (PBE, Alexandria) and Cu Kα (λ = 1.5418 Å).
No peak broadening, texture or thermal motion is included.

Atomic structure:
```
data_Pm3SiTc
_chemical_formula_sum 'Pm6 Si2 Tc2'
_cell_length_a 7.2393
_cell_length_b 7.2393
_cell_length_c 7.2393
_cell_angle_alpha 87.00
_cell_angle_beta 118.61
_cell_angle_gamma 124.99
_space_group_name_H-M_alt 'P 1'
_space_group_IT_number 1
_space_group_name_Hall 'P 1'
loop_
_atom_site_label
_atom_site_type_symbol
_atom_site_fract_x
_atom_site_fract_y
_atom_site_fract_z
_atom_site_occupancy
Pm1 Pm 0.2491 0.0008 0.2499 1
Pm2 Pm 0.2491 0.4992 0.7483 1
Pm3 Pm 0.6876 0.4973 0.6903 1
Pm4 Pm 0.7509 0.5008 0.2517 1
Pm5 Pm 0.7509 0.9992 0.7501 1
Pm6 Pm 0.8070 0.9973 0.3097 1
Si1 Si 0.2370 0.9980 0.7390 1
Si2 Si 0.2591 0.4980 0.2610 1
Tc1 Tc 0.2465 0.7468 0.9996 1
Tc2 Tc 0.7472 0.2468 0.0004 1
```

Largest 10 diffraction maxima, by angle, 5° ≤ 2θ ≤ 70°:
d 4.958, intensity 23
d 3.695, intensity 34
d 3.605, intensity 22
d 3.022, intensity 66
d 2.926, intensity 27
d 2.820, intensity 69
d 2.626, intensity 68
d 2.479, intensity 100
d 1.803, intensity 77
d 1.410, intensity 22

---

No. 7
Diffraction record for AcSbHRh. The PXRD pattern is simulated, not measured: it uses a DFT-relaxed cell (PBE, Alexandria) and Cu Kα (λ = 1.5418 Å).
No peak broadening, texture or thermal motion is included.

Atomic structure:
```
data_AcSbHRh
_chemical_formula_sum 'Ac1 Sb1 H1 Rh1'
_cell_length_a 4.6010
_cell_length_b 4.6010
_cell_length_c 4.5546
_cell_angle_alpha 90.00
_cell_angle_beta 90.00
_cell_angle_gamma 120.00
_space_group_name_H-M_alt 'P 1'
_space_group_IT_number 1
_space_group_name_Hall 'P 1'
loop_
_atom_site_label
_atom_site_type_symbol
_atom_site_fract_x
_atom_site_fract_y
_atom_site_fract_z
_atom_site_occupancy
Ac1 Ac 0.0000 0.0000 0.0000 1
Sb1 Sb 0.3333 0.6667 0.4879 1
H1 H 0.6667 0.3333 0.9345 1
Rh1 Rh 0.6667 0.3333 0.5639 1
```

Largest 10 diffraction maxima, by angle, 5° ≤ 2θ ≤ 70°:
d 3.985, intensity 10
d 2.999, intensity 100
d 2.300, intensity 44
d 2.277, intensity 12
d 1.977, intensity 7
d 1.825, intensity 24
d 1.618, intensity 26
d 1.499, intensity 3
d 1.430, intensity 22
d 1.419, intensity 10

---

No. 8
Diffraction record for La8Cu2Tc. The PXRD pattern is simulated, not measured: it uses a DFT-relaxed cell (PBE, Alexandria) and Cu Kα (λ = 1.5418 Å).
No peak broadening, texture or thermal motion is included.

Atomic structure:
```
data_La8Cu2Tc
_chemical_formula_sum 'La8 Cu2 Tc1'
_cell_length_a 7.8247
_cell_length_b 7.8247
_cell_length_c 6.6073
_cell_angle_alpha 103.50
_cell_angle_beta 103.50
_cell_angle_gamma 108.57
_space_group_name_H-M_alt 'P 1'
_space_group_IT_number 1
_space_group_name_Hall 'P 1'
loop_
_atom_site_label
_atom_site_type_symbol
_atom_site_fract_x
_atom_site_fract_y
_atom_site_fract_z
_atom_site_occupancy
La1 La 0.0000 0.0000 0.0000 1
La2 La 0.0108 0.2839 0.5904 1
La3 La 0.1970 0.5326 0.2103 1
La4 La 0.2839 0.0108 0.5904 1
La5 La 0.4534 0.7203 0.8579 1
La6 La 0.5326 0.1970 0.2103 1
La7 La 0.7203 0.4534 0.8579 1
La8 La 0.7338 0.7338 0.3990 1
Cu1 Cu 0.0513 0.6784 0.7102 1
Cu2 Cu 0.6784 0.0513 0.7102 1
Tc1 Tc 0.3724 0.3724 0.9982 1
```

Largest 10 diffraction maxima, by angle, 5° ≤ 2θ ≤ 70°:
d 3.195, intensity 52
d 2.974, intensity 100
d 2.955, intensity 74
d 2.938, intensity 48
d 2.797, intensity 26
d 2.732, intensity 32
d 2.566, intensity 26
d 2.469, intensity 30
d 2.353, intensity 27
d 1.659, intensity 25

---

No. 9
Diffraction record for VFeRu4. The PXRD pattern is simulated, not measured: it uses a DFT-relaxed cell (PBE, Alexandria) and Cu Kα (λ = 1.5418 Å).
No peak broadening, texture or thermal motion is included.

Atomic structure:
```
data_VFeRu4
_chemical_formula_sum 'V1 Fe1 Ru4'
_cell_length_a 4.2186
_cell_length_b 4.2186
_cell_length_c 5.3260
_cell_angle_alpha 90.00
_cell_angle_beta 90.00
_cell_angle_gamma 120.00
_space_group_name_H-M_alt 'P 1'
_space_group_IT_number 1
_space_group_name_Hall 'P 1'
loop_
_atom_site_label
_atom_site_type_symbol
_atom_site_fract_x
_atom_site_fract_y
_atom_site_fract_z
_atom_site_occupancy
V1 V 0.0000 0.0000 0.0000 1
Fe1 Fe 0.0000 0.0000 0.5000 1
Ru1 Ru 0.3333 0.6667 0.1299 1
Ru2 Ru 0.3333 0.6667 0.6288 1
Ru3 Ru 0.6667 0.3333 0.3712 1
Ru4 Ru 0.6667 0.3333 0.8701 1
```

Largest 8 diffraction maxima, by angle, 5° ≤ 2θ ≤ 70°:
d 3.653, intensity 14
d 2.663, intensity 2
d 2.152, intensity 100
d 2.109, intensity 90
d 1.827, intensity 2
d 1.653, intensity 2
d 1.506, intensity 31
d 1.381, intensity 2

---

No. 10
Diffraction record for Ce11In9Ir4. The PXRD pattern is simulated, not measured: it uses a DFT-relaxed cell (PBE, Alexandria) and Cu Kα (λ = 1.5418 Å).
No peak broadening, texture or thermal motion is included.

Atomic structure:
```
data_Ce11In9Ir4
_chemical_formula_sum 'Ce11 In9 Ir4'
_cell_length_a 13.1139
_cell_length_b 13.1139
_cell_length_c 3.7763
_cell_angle_alpha 90.00
_cell_angle_beta 90.00
_cell_angle_gamma 110.56
_space_group_name_H-M_alt 'P 1'
_space_group_IT_number 1
_space_group_name_Hall 'P 1'
loop_
_atom_site_label
_atom_site_type_symbol
_atom_site_fract_x
_atom_site_fract_y
_atom_site_fract_z
_atom_site_occupancy
Ce1 Ce 0.0000 0.0000 0.0000 1
Ce2 Ce 0.0728 0.4263 0.0000 1
Ce3 Ce 0.1503 0.8497 0.0000 1
Ce4 Ce 0.3149 0.3149 0.0000 1
Ce5 Ce 0.3722 0.6278 0.0000 1
Ce6 Ce 0.4263 0.0728 0.0000 1
Ce7 Ce 0.5737 0.9272 0.0000 1
Ce8 Ce 0.6278 0.3722 0.0000 1
Ce9 Ce 0.6851 0.6851 0.0000 1
Ce10 Ce 0.8497 0.1503 0.0000 1
Ce11 Ce 0.9272 0.5737 0.0000 1
In1 In 0.0813 0.2240 0.5000 1
In2 In 0.1590 0.6408 0.5000 1
In3 In 0.2240 0.0813 0.5000 1
In4 In 0.3592 0.8410 0.5000 1
In5 In 0.5000 0.5000 0.5000 1
In6 In 0.6408 0.1590 0.5000 1
In7 In 0.7760 0.9187 0.5000 1
In8 In 0.8410 0.3592 0.5000 1
In9 In 0.9187 0.7760 0.5000 1
Ir1 Ir 0.2452 0.4503 0.5000 1
Ir2 Ir 0.4503 0.2452 0.5000 1
Ir3 Ir 0.5497 0.7548 0.5000 1
Ir4 Ir 0.7548 0.5497 0.5000 1
```

Largest 10 diffraction maxima, by angle, 5° ≤ 2θ ≤ 70°:
d 12.279, intensity 33
d 2.857, intensity 34
d 2.775, intensity 27
d 2.655, intensity 100
d 2.603, intensity 99
d 2.589, intensity 71
d 2.467, intensity 33
d 2.426, intensity 30
d 1.888, intensity 34
d 1.526, intensity 28

---

No. 11
Diffraction record for Dy5YEr12. The PXRD pattern is simulated, not measured: it uses a DFT-relaxed cell (PBE, Alexandria) and Cu Kα (λ = 1.5418 Å).
No peak broadening, texture or thermal motion is included.

Atomic structure:
```
data_Dy5YEr12
_chemical_formula_sum 'Dy5 Y1 Er12'
_cell_length_a 10.5580
_cell_length_b 4.9739
_cell_length_c 10.5706
_cell_angle_alpha 90.00
_cell_angle_beta 90.14
_cell_angle_gamma 90.00
_space_group_name_H-M_alt 'P 1'
_space_group_IT_number 1
_space_group_name_Hall 'P 1'
loop_
_atom_site_label
_atom_site_type_symbol
_atom_site_fract_x
_atom_site_fract_y
_atom_site_fract_z
_atom_site_occupancy
Dy1 Dy 0.0000 0.0000 0.0000 1
Dy2 Dy 0.1667 0.5000 0.8332 1
Dy3 Dy 0.3328 0.0000 0.6671 1
Dy4 Dy 0.6672 0.0000 0.3329 1
Dy5 Dy 0.8333 0.5000 0.1668 1
Y1 Y 0.5000 0.5000 0.5000 1
Er1 Er 0.0003 0.0000 0.3337 1
Er2 Er 0.9997 0.0000 0.6663 1
Er3 Er 0.1658 0.5000 0.4996 1
Er4 Er 0.1670 0.5000 0.1671 1
Er5 Er 0.3323 0.0000 0.3324 1
Er6 Er 0.3337 0.0000 0.0003 1
Er7 Er 0.4996 0.5000 0.1658 1
Er8 Er 0.5004 0.5000 0.8342 1
Er9 Er 0.6663 0.0000 0.9997 1
Er10 Er 0.6677 0.0000 0.6676 1
Er11 Er 0.8330 0.5000 0.8329 1
Er12 Er 0.8342 0.5000 0.5004 1
```

Largest 8 diffraction maxima, by angle, 5° ≤ 2θ ≤ 70°:
d 10.564, intensity 1
d 2.874, intensity 100
d 2.489, intensity 51
d 1.761, intensity 24
d 1.759, intensity 12
d 1.503, intensity 14
d 1.500, intensity 28
d 1.437, intensity 12

---

No. 12
Diffraction record for PmSm6Sc4. The PXRD pattern is simulated, not measured: it uses a DFT-relaxed cell (PBE, Alexandria) and Cu Kα (λ = 1.5418 Å).
No peak broadening, texture or thermal motion is included.

Atomic structure:
```
data_PmSm6Sc4
_chemical_formula_sum 'Pm1 Sm6 Sc4'
_cell_length_a 8.7716
_cell_length_b 8.7716
_cell_length_c 5.3116
_cell_angle_alpha 90.00
_cell_angle_beta 90.00
_cell_angle_gamma 120.00
_space_group_name_H-M_alt 'P 1'
_space_group_IT_number 1
_space_group_name_Hall 'P 1'
loop_
_atom_site_label
_atom_site_type_symbol
_atom_site_fract_x
_atom_site_fract_y
_atom_site_fract_z
_atom_site_occupancy
Pm1 Pm 0.0000 0.0000 0.0000 1
Sm1 Sm 0.1957 0.3913 0.5000 1
Sm2 Sm 0.1957 0.8043 0.5000 1
Sm3 Sm 0.5320 0.0640 0.0000 1
Sm4 Sm 0.5320 0.4680 0.0000 1
Sm5 Sm 0.6087 0.8043 0.5000 1
Sm6 Sm 0.9360 0.4680 0.0000 1
Sc1 Sc 0.3333 0.6667 0.0000 1
Sc2 Sc 0.4297 0.2148 0.5000 1
Sc3 Sc 0.7852 0.2148 0.5000 1
Sc4 Sc 0.7852 0.5703 0.5000 1
```

Largest 10 diffraction maxima, by angle, 5° ≤ 2θ ≤ 70°:
d 3.798, intensity 15
d 3.090, intensity 100
d 2.871, intensity 21
d 2.656, intensity 25
d 2.528, intensity 38
d 2.193, intensity 17
d 1.950, intensity 14
d 1.691, intensity 15
d 1.656, intensity 19
d 1.605, intensity 14

---

What did the tenth record say?
Diffraction record for Ce11In9Ir4. The PXRD pattern is simulated, not measured: it uses a DFT-relaxed cell (PBE, Alexandria) and Cu Kα (λ = 1.5418 Å).
No peak broadening, texture or thermal motion is included.

Atomic structure:
```
data_Ce11In9Ir4
_chemical_formula_sum 'Ce11 In9 Ir4'
_cell_length_a 13.1139
_cell_length_b 13.1139
_cell_length_c 3.7763
_cell_angle_alpha 90.00
_cell_angle_beta 90.00
_cell_angle_gamma 110.56
_space_group_name_H-M_alt 'P 1'
_space_group_IT_number 1
_space_group_name_Hall 'P 1'
loop_
_atom_site_label
_atom_site_type_symbol
_atom_site_fract_x
_atom_site_fract_y
_atom_site_fract_z
_atom_site_occupancy
Ce1 Ce 0.0000 0.0000 0.0000 1
Ce2 Ce 0.0728 0.4263 0.0000 1
Ce3 Ce 0.1503 0.8497 0.0000 1
Ce4 Ce 0.3149 0.3149 0.0000 1
Ce5 Ce 0.3722 0.6278 0.0000 1
Ce6 Ce 0.4263 0.0728 0.0000 1
Ce7 Ce 0.5737 0.9272 0.0000 1
Ce8 Ce 0.6278 0.3722 0.0000 1
Ce9 Ce 0.6851 0.6851 0.0000 1
Ce10 Ce 0.8497 0.1503 0.0000 1
Ce11 Ce 0.9272 0.5737 0.0000 1
In1 In 0.0813 0.2240 0.5000 1
In2 In 0.1590 0.6408 0.5000 1
In3 In 0.2240 0.0813 0.5000 1
In4 In 0.3592 0.8410 0.5000 1
In5 In 0.5000 0.5000 0.5000 1
In6 In 0.6408 0.1590 0.5000 1
In7 In 0.7760 0.9187 0.5000 1
In8 In 0.8410 0.3592 0.5000 1
In9 In 0.9187 0.7760 0.5000 1
Ir1 Ir 0.2452 0.4503 0.5000 1
Ir2 Ir 0.4503 0.2452 0.5000 1
Ir3 Ir 0.5497 0.7548 0.5000 1
Ir4 Ir 0.7548 0.5497 0.5000 1
```

Largest 10 diffraction maxima, by angle, 5° ≤ 2θ ≤ 70°:
d 12.279, intensity 33
d 2.857, intensity 34
d 2.775, intensity 27
d 2.655, intensity 100
d 2.603, intensity 99
d 2.589, intensity 71
d 2.467, intensity 33
d 2.426, intensity 30
d 1.888, intensity 34
d 1.526, intensity 28